[1]
Starting from a DFT-relaxed cell (PBE, Alexandria), the powder X-ray diffraction pattern of Sm6Bi5 was simulated for copper Kα.
Kinematic intensities with the Lorentz-polarization factor, no thermal factor.

The 10 most intense peaks (2θ from 10° to 90°), by angle:
| 2theta | intensity |
| --- | --- |
| 28.0 | 100 |
| 39.9 | 39 |
| 40.1 | 39 |
| 49.3 | 7 |
| 49.6 | 21 |
| 57.9 | 9 |
| 65.4 | 12 |
| 65.6 | 12 |
| 72.4 | 7 |
| 72.7 | 12 |

Crystal structure
Cell lengths 7.787, 7.787, 7.836 Å; angles 99.61, 99.61, 119.90 degrees
Fractional coordinates of all 11 atoms:
Sm 0.082 0.413 0.746
Sm 0.248 0.248 0.245
Sm 0.413 0.082 0.746
Sm 0.587 0.918 0.254
Sm 0.752 0.752 0.755
Sm 0.918 0.587 0.254
Bi 0.170 0.830 0.000
Bi 0.335 0.665 0.500
Bi 0.500 0.500 0.000
Bi 0.665 0.335 0.500
Bi 0.830 0.170 0.000

[2]
Starting from a DFT-relaxed cell (PBE, Alexandria), the powder X-ray diffraction pattern of Zn2CrAs was simulated for copper Kα.
Kinematic intensities with the Lorentz-polarization factor, no thermal factor.

The 10 most intense peaks (2θ from 10° to 90°), by angle:
| 2theta | intensity |
| --- | --- |
| 36.1 | 100 |
| 42.6 | 62 |
| 45.8 | 50 |
| 46.1 | 24 |
| 57.5 | 12 |
| 67.0 | 30 |
| 74.2 | 22 |
| 76.7 | 10 |
| 78.8 | 9 |
| 86.7 | 14 |

Crystal structure
Cell lengths 4.674, 4.674, 3.206 Å; angles 90.00, 90.00, 114.86 degrees
Fractional coordinates of all 4 atoms:
Zn 0.000 0.500 0.000
Zn 0.500 0.000 0.000
Cr 0.000 0.000 0.500
As 0.500 0.500 0.500

[3]
Starting from a DFT-relaxed cell (PBE, Alexandria), the powder X-ray diffraction pattern of Ba2Cd2GaAu4 was simulated for copper Kα.
Kinematic intensities with the Lorentz-polarization factor, no thermal factor.

The 10 most intense peaks (2θ from 10° to 90°), by angle:
| 2theta | intensity |
| --- | --- |
| 19.8 | 14 |
| 31.6 | 100 |
| 34.7 | 59 |
| 40.3 | 21 |
| 49.9 | 21 |
| 54.2 | 23 |
| 60.3 | 32 |
| 66.0 | 11 |
| 73.3 | 12 |
| 83.7 | 13 |

Crystal structure
Cell lengths 6.836, 6.836, 6.836 Å; angles 115.36, 115.36, 98.25 degrees
Fractional coordinates of all 9 atoms:
Ba 0.250 0.750 0.500
Ba 0.750 0.250 0.500
Cd 0.169 0.169 0.000
Cd 0.831 0.831 0.000
Ga 0.500 0.500 0.000
Au 0.246 0.246 0.492
Au 0.246 0.754 0.000
Au 0.754 0.246 0.000
Au 0.754 0.754 0.508